Entry 1:
# Zn5Cu4
Theoretical XRD peak list, Cu Kα (weighted mean of Kα1 and Kα2). Input: a PBE-relaxed structure.
No peak broadening, texture or thermal motion is included.

Peak list (10 most intense, 2θ from 10° to 90°, by angle)
| 2theta | I/Imax | (hkl) |
| --- | --- | --- |
| 35.40 | 7 | 0 0 2 |
| 41.30 | 16 | 2 1 1 |
| 42.31 | 100 | 3 0 0 |
| 43.25 | 93 | 1 1 2 |
| 56.31 | 6 | 3 0 2 |
| 62.10 | 27 | 2 2 2 |
| 74.89 | 6 | 0 0 4 |
| 77.37 | 11 | 3 3 0 |
| 78.03 | 25 | 4 1 2 |
| 89.99 | 20 | 3 0 4 |

Crystal structure
a b c (Å): 7.4003 7.4003 5.0719
angles (deg): 90.00 90.00 120.00
Space group P6_3/mcm (No. 193)
One atom of each set of equivalent atoms:
Zn  0.0000  0.3023  0.2500 (multiplicity 6)
Zn  0.3333  0.6667  0.0000 (multiplicity 4)
Cu  0.0000  0.0000  0.0000 (multiplicity 2)
Cu  0.0000  0.3626  0.7500 (multiplicity 6)

Entry 2:
# Zn35Cu17
Theoretical XRD peak list, Cu Kα (weighted mean of Kα1 and Kα2). Input: a PBE-relaxed structure.
No peak broadening, texture or thermal motion is included.

Peak list (10 most intense, 2θ from 10° to 90°, by angle)
| 2theta | I/Imax | (hkl) |
| --- | --- | --- |
| 34.87 | 8 | 1 1 -4 |
| 37.69 | 7 | 0 3 -1 |
| 42.96 | 74 | 3 -3 0 |
| 43.08 | 100 | 0 3 3 |
| 43.14 | 68 | 3 0 3 |
| 62.57 | 11 | -3 3 6 |
| 78.77 | 9 | -3 6 3 |
| 78.88 | 13 | -6 3 3 |
| 79.02 | 8 | 6 0 0 |
| 89.51 | 7 | -1 2 11 |

Crystal structure
a b c (Å): 7.718 7.742 12.581
angles (deg): 90.19 90.01 109.65
Space group P1 (No. 1)
One atom of each set of equivalent atoms:
Zn  0.000  0.000  0.000 (multiplicity 1)
Zn  0.001  0.006  0.257 (multiplicity 1)
Zn  0.076  0.134  0.452 (multiplicity 1)
Zn  0.085  0.143  0.809 (multiplicity 1)
Zn  0.126  0.288  0.130 (multiplicity 1)
Zn  0.139  0.832  0.769 (multiplicity 1)
Zn  0.143  0.832  0.500 (multiplicity 1)
Zn  0.155  0.507  0.819 (multiplicity 1)
Zn  0.162  0.500  0.449 (multiplicity 1)
Zn  0.241  0.592  0.017 (multiplicity 1)
Zn  0.244  0.592  0.248 (multiplicity 1)
Zn  0.278  0.242  0.629 (multiplicity 1)
Zn  0.301  0.935  0.955 (multiplicity 1)
Zn  0.305  0.941  0.310 (multiplicity 1)
Zn  0.374  0.131  0.131 (multiplicity 1)
Zn  0.415  0.976  0.634 (multiplicity 1)
Zn  0.476  0.486  0.763 (multiplicity 1)
Zn  0.484  0.842  0.134 (multiplicity 1)
Zn  0.488  0.491  0.501 (multiplicity 1)
Zn  0.583  0.632  0.311 (multiplicity 1)
Zn  0.585  0.627  0.951 (multiplicity 1)
Zn  0.625  0.767  0.635 (multiplicity 1)
Zn  0.626  0.308  0.994 (multiplicity 1)
Zn  0.627  0.310  0.269 (multiplicity 1)
Zn  0.667  0.992  0.948 (multiplicity 1)
Zn  0.673  0.998  0.321 (multiplicity 1)
Zn  0.734  0.083  0.521 (multiplicity 1)
Zn  0.737  0.090  0.750 (multiplicity 1)
Zn  0.779  0.758  0.127 (multiplicity 1)
Zn  0.789  0.439  0.812 (multiplicity 1)
Zn  0.791  0.425  0.456 (multiplicity 1)
Zn  0.893  0.631  0.633 (multiplicity 1)
Zn  0.895  0.476  0.128 (multiplicity 1)
Zn  0.952  0.664  0.312 (multiplicity 1)
Zn  0.985  0.336  0.633 (multiplicity 1)
Cu  0.129  0.811  0.133 (multiplicity 1)
Cu  0.269  0.622  0.633 (multiplicity 1)
Cu  0.305  0.302  0.311 (multiplicity 1)
Cu  0.305  0.304  0.954 (multiplicity 1)
Cu  0.448  0.159  0.809 (multiplicity 1)
Cu  0.449  0.159  0.457 (multiplicity 1)
Cu  0.452  0.800  0.457 (multiplicity 1)
Cu  0.452  0.800  0.808 (multiplicity 1)
Cu  0.478  0.482  0.132 (multiplicity 1)
Cu  0.631  0.316  0.634 (multiplicity 1)
Cu  0.773  0.122  0.133 (multiplicity 1)
Cu  0.806  0.797  0.457 (multiplicity 1)
Cu  0.809  0.804  0.811 (multiplicity 1)
Cu  0.948  0.302  0.956 (multiplicity 1)
Cu  0.953  0.309  0.305 (multiplicity 1)
Cu  0.955  0.664  0.954 (multiplicity 1)
Cu  0.968  0.980  0.633 (multiplicity 1)

Entry 3:
# Zn4Cu
Theoretical XRD peak list, Cu Kα (weighted mean of Kα1 and Kα2). Input: a PBE-relaxed structure.
No peak broadening, texture or thermal motion is included.

Peak list (10 most intense, 2θ from 10° to 90°, by angle)
| 2theta | I/Imax | (hkl) |
| --- | --- | --- |
| 25.06 | 26 | 2 0 0 |
| 38.03 | 34 | 3 1 -1 |
| 41.62 | 15 | 2 0 1 |
| 43.05 | 100 | 1 1 -2 |
| 43.55 | 19 | 3 1 -2 |
| 43.84 | 41 | 4 0 -2 |
| 44.06 | 52 | 0 2 0 |
| 44.17 | 85 | 3 1 0 |
| 63.90 | 25 | 4 2 -2 |
| 80.32 | 18 | 1 3 -2 |

Crystal structure
a b c (Å): 8.682 4.110 5.166
angles (deg): 90.00 125.17 90.00
Space group Cm (No. 8)
One atom of each set of equivalent atoms:
Zn  0.000  0.000  0.000 (multiplicity 2)
Zn  0.063  0.000  0.559 (multiplicity 2)
Zn  0.210  0.500  0.427 (multiplicity 2)
Zn  0.356  0.000  0.233 (multiplicity 2)
Cu  0.172  0.500  0.900 (multiplicity 2)

Entry 4:
# ZnCu
Theoretical XRD peak list, Cu Kα (weighted mean of Kα1 and Kα2). Input: a PBE-relaxed structure.
No peak broadening, texture or thermal motion is included.

Peak list (3 most intense, 2θ from 10° to 90°, by angle)
| 2theta | I/Imax | (hkl) |
| --- | --- | --- |
| 43.08 | 100 | 2 2 0 |
| 62.56 | 15 | 4 0 0 |
| 78.98 | 30 | 4 2 2 |

Crystal structure
a b c (Å): 5.939 5.939 5.939
angles (deg): 90.00 90.00 90.00
Space group Fd-3m (No. 227, origin choice 2)
One atom of each set of equivalent atoms:
Zn  0.125  0.125  0.125 (multiplicity 8)
Cu  0.125  0.125  0.625 (multiplicity 8)

Entry 5:
# ZnCu2
Theoretical XRD peak list, Cu Kα (weighted mean of Kα1 and Kα2). Input: a PBE-relaxed structure.
No peak broadening, texture or thermal motion is included.

Peak list (10 most intense, 2θ from 10° to 90°, by angle)
| 2theta | I/Imax | (hkl) |
| --- | --- | --- |
| 42.13 | 51 | 1 -1 0 |
| 42.33 | 100 | 0 1 1 |
| 42.53 | 49 | 0 1 -2 |
| 48.51 | 33 | 1 0 1 |
| 49.54 | 31 | 0 2 -1 |
| 49.78 | 30 | 1 0 -2 |
| 71.86 | 19 | 1 2 0 |
| 86.07 | 11 | 2 1 0 |
| 87.82 | 11 | 0 3 0 |
| 88.13 | 11 | 2 1 -3 |

Crystal structure
a b c (Å): 2.633 3.680 4.489
angles (deg): 113.94 105.71 90.20
Space group P-1 (No. 2)
One atom of each set of equivalent atoms:
Zn  0.000  0.000  0.000 (multiplicity 1)
Cu  0.332  0.333  0.665 (multiplicity 2)

Entry 6:
# ZnCu2
Theoretical XRD peak list, Cu Kα (weighted mean of Kα1 and Kα2). Input: a PBE-relaxed structure.
No peak broadening, texture or thermal motion is included.

Peak list (8 most intense, 2θ from 10° to 90°, by angle)
| 2theta | I/Imax | (hkl) |
| --- | --- | --- |
| 42.35 | 100 | 1 3 1 |
| 48.42 | 17 | 2 0 0 |
| 49.74 | 30 | 0 0 2 |
| 71.95 | 18 | 2 0 2 |
| 73.00 | 9 | 0 6 2 |
| 86.20 | 11 | 3 3 1 |
| 88.14 | 11 | 1 3 3 |
| 88.26 | 10 | 1 9 1 |

Crystal structure
a b c (Å): 3.760 10.989 3.669
angles (deg): 90.00 90.00 90.00
Space group Cmmm (No. 65)
One atom of each set of equivalent atoms:
Zn  0.000  0.163  0.000 (multiplicity 4)
Cu  0.000  0.000  0.500 (multiplicity 2)
Cu  0.000  0.335  0.500 (multiplicity 4)
Cu  0.000  0.500  0.000 (multiplicity 2)

Entry 7:
# ZnCu
Theoretical XRD peak list, Cu Kα (weighted mean of Kα1 and Kα2). Input: a PBE-relaxed structure.
No peak broadening, texture or thermal motion is included.

Peak list (6 most intense, 2θ from 10° to 90°, by angle)
| 2theta | I/Imax | (hkl) |
| --- | --- | --- |
| 41.95 | 100 | 1 0 1 |
| 47.03 | 35 | 1 1 0 |
| 52.28 | 13 | 0 0 2 |
| 68.70 | 10 | 2 0 0 |
| 72.94 | 17 | 1 1 2 |
| 83.86 | 23 | 2 1 1 |

Crystal structure
a b c (Å): 2.732 2.732 3.500
angles (deg): 90.00 90.00 90.00
Space group P4/mmm (No. 123)
One atom of each set of equivalent atoms:
Zn  0.000  0.000  0.000 (multiplicity 1)
Cu  0.500  0.500  0.500 (multiplicity 1)

Entry 8:
# ZnCu
Theoretical XRD peak list, Cu Kα (weighted mean of Kα1 and Kα2). Input: a PBE-relaxed structure.
No peak broadening, texture or thermal motion is included.

Peak list (9 most intense, 2θ from 10° to 90°, by angle)
| 2theta | I/Imax | (hkl) |
| --- | --- | --- |
| 38.67 | 25 | 1 0 0 |
| 43.25 | 24 | 0 0 2 |
| 44.53 | 100 | 1 0 1 |
| 59.40 | 13 | 1 0 2 |
| 69.99 | 16 | 1 1 0 |
| 80.24 | 16 | 1 0 3 |
| 82.94 | 2 | 2 0 0 |
| 85.95 | 17 | 1 1 2 |
| 86.84 | 13 | 2 0 1 |

Crystal structure
a b c (Å): 2.6886 2.6886 4.1835
angles (deg): 90.00 90.00 120.00
Space group P-6m2 (No. 187)
One atom of each set of equivalent atoms:
Zn  0.0000  0.0000  0.0000 (multiplicity 1)
Cu  0.6667  0.3333  0.5000 (multiplicity 1)

Entry 9:
# Zr2Zn16Cu
Theoretical XRD peak list, Cu Kα (weighted mean of Kα1 and Kα2). Input: a PBE-relaxed structure.
No peak broadening, texture or thermal motion is included.

Peak list (10 most intense, 2θ from 10° to 90°, by angle)
| 2theta | I/Imax | (hkl) |
| --- | --- | --- |
| 35.40 | 35 | 3 0 0 |
| 36.43 | 25 | 0 2 4 |
| 41.10 | 59 | 2 2 0 |
| 41.28 | 100 | 0 3 3 |
| 41.82 | 35 | 0 0 6 |
| 42.19 | 27 | 2 0 5 |
| 46.38 | 59 | 2 2 3 |
| 67.56 | 15 | 3 3 3 |
| 74.89 | 21 | 6 0 0 |
| 76.00 | 20 | 0 3 9 |

Crystal structure
a b c (Å): 8.7845 8.7845 12.9595
angles (deg): 90.00 90.00 120.00
Space group R3m (No. 160, hexagonal axes)
One atom of each set of equivalent atoms:
Zr  0.0000  0.0000  0.0000 (multiplicity 3)
Zr  0.0000  0.0000  0.3356 (multiplicity 3)
Zn  0.0000  0.0000  0.5682 (multiplicity 3)
Zn  0.0000  0.2991  0.6691 (multiplicity 18)
Zn  0.0125  0.5063  0.8184 (multiplicity 9)
Zn  0.1696  0.3392  0.5022 (multiplicity 9)
Zn  0.1710  0.3420  0.8522 (multiplicity 9)
Cu  0.0000  0.0000  0.7693 (multiplicity 3)

Entry 10:
# Zr2Zn6Cu9
Theoretical XRD peak list, Cu Kα (weighted mean of Kα1 and Kα2). Input: a PBE-relaxed structure.
No peak broadening, texture or thermal motion is included.

Peak list (10 most intense, 2θ from 10° to 90°, by angle)
| 2theta | I/Imax | (hkl) |
| --- | --- | --- |
| 20.60 | 30 | 1 0 0 |
| 21.79 | 16 | 1 0 1 |
| 36.08 | 21 | 1 1 0 |
| 41.90 | 30 | 2 0 0 |
| 42.21 | 100 | 1 1 3 |
| 43.13 | 30 | 0 0 6 |
| 47.41 | 55 | 2 0 3 |
| 69.08 | 21 | 3 0 3 |
| 76.53 | 19 | 2 2 0 |
| 82.17 | 17 | 2 0 9 |

Crystal structure
a b c (Å): 4.9791 4.9791 12.5840
angles (deg): 90.00 90.00 120.00
Space group P6/mmm (No. 191)
One atom of each set of equivalent atoms:
Zr  0.0000  0.0000  0.1304 (multiplicity 2)
Zn  0.3333  0.6667  0.1693 (multiplicity 4)
Zn  0.3333  0.6667  0.5000 (multiplicity 2)
Cu  0.0000  0.5000  0.0000 (multiplicity 3)
Cu  0.0000  0.5000  0.3336 (multiplicity 6)

Entry 11:
# Zr2Zn6Cu3
Theoretical XRD peak list, Cu Kα (weighted mean of Kα1 and Kα2). Input: a PBE-relaxed structure.
No peak broadening, texture or thermal motion is included.

Peak list (10 most intense, 2θ from 10° to 90°, by angle)
| 2theta | I/Imax | (hkl) |
| --- | --- | --- |
| 33.63 | 71 | 1 1 1 |
| 36.75 | 16 | 2 0 1 |
| 38.67 | 26 | 2 1 0 |
| 44.10 | 19 | 3 0 0 |
| 45.00 | 100 | 0 0 2 |
| 53.64 | 11 | 3 1 0 |
| 60.85 | 13 | 2 1 2 |
| 64.88 | 12 | 3 0 2 |
| 74.40 | 12 | 4 1 1 |
| 83.12 | 11 | 2 1 3 |

Crystal structure
a b c (Å): 7.1137 7.1137 4.0232
angles (deg): 90.00 90.00 120.00
Space group P-62m (No. 189)
One atom of each set of equivalent atoms:
Zr  0.3333  0.6667  0.0000 (multiplicity 2)
Zn  0.0000  0.2084  0.0000 (multiplicity 3)
Zn  0.0000  0.7310  0.5000 (multiplicity 3)
Cu  0.0000  0.4012  0.5000 (multiplicity 3)

Entry 12:
# ZrZn9Cu2
Theoretical XRD peak list, Cu Kα (weighted mean of Kα1 and Kα2). Input: a PBE-relaxed structure.
No peak broadening, texture or thermal motion is included.

Peak list (10 most intense, 2θ from 10° to 90°, by angle)
| 2theta | I/Imax | (hkl) |
| --- | --- | --- |
| 34.01 | 33 | 3 2 1 |
| 38.69 | 100 | 3 1 2 |
| 38.87 | 68 | 4 2 0 |
| 41.91 | 31 | 1 0 3 |
| 44.43 | 15 | 4 0 2 |
| 45.58 | 26 | 2 1 3 |
| 45.89 | 85 | 5 0 1 |
| 47.94 | 33 | 4 2 2 |
| 70.26 | 29 | 5 5 2 |
| 83.43 | 15 | 8 4 0 |

Crystal structure
a b c (Å): 10.363 10.363 6.612
angles (deg): 90.00 90.00 90.00
Space group I4_1/amd (No. 141, origin choice 2)
One atom of each set of equivalent atoms:
Zr  0.000  0.250  0.375 (multiplicity 4)
Zn  0.000  0.250  0.875 (multiplicity 4)
Zn  0.120  0.049  0.675 (multiplicity 32)
Cu  0.000  0.000  0.000 (multiplicity 8)

Entry 13:
# Zr3Zn3Cu
Theoretical XRD peak list, Cu Kα (weighted mean of Kα1 and Kα2). Input: a PBE-relaxed structure.
No peak broadening, texture or thermal motion is included.

Peak list (10 most intense, 2θ from 10° to 90°, by angle)
| 2theta | I/Imax | (hkl) |
| --- | --- | --- |
| 36.51 | 100 | 1 1 2 |
| 37.25 | 55 | 1 0 5 |
| 40.07 | 79 | 0 1 7 |
| 40.34 | 13 | 1 1 4 |
| 42.27 | 39 | 0 2 0 |
| 57.59 | 30 | 1 2 5 |
| 57.97 | 15 | 2 0 0 |
| 72.81 | 25 | 2 1 7 |
| 73.51 | 12 | 1 3 2 |
| 74.31 | 14 | 2 2 0 |

Crystal structure
a b c (Å): 3.182 4.276 18.523
angles (deg): 90.00 90.00 90.00
Space group Imm2 (No. 44)
One atom of each set of equivalent atoms:
Zr  0.000  0.000  0.000 (multiplicity 2)
Zr  0.000  0.000  0.401 (multiplicity 2)
Zr  0.000  0.500  0.205 (multiplicity 2)
Zn  0.000  0.000  0.562 (multiplicity 2)
Zn  0.000  0.000  0.842 (multiplicity 2)
Zn  0.000  0.500  0.636 (multiplicity 2)
Cu  0.000  0.500  0.769 (multiplicity 2)